[1]
This entry pairs a crystal structure of ZnSb2 with its calculated PXRD pattern. Radiation: λ = 1.5418 Å (Cu Kα). Structure: a crystal structure in the Materials Project, relaxed with PBE.
Peak positions follow from Bragg's law for the DFT cell and can differ from measured ones.

Main lines, by angle (2θ from 10° to 90°):
Position (°2θ), Rel. int.
28.82, 100
30.61, 65
33.29, 48
41.21, 47
46.59, 38
48.51, 38

Structural model:
Cell lengths 6.927, 6.927, 3.221 Å; angles 90.00, 90.00, 90.00 degrees
Sites, in units of the cell vectors:
Zn: 0.000 0.000 0.000
Zn: 0.500 0.500 0.500
Sb: 0.148 0.352 0.250
Sb: 0.352 0.852 0.750
Sb: 0.648 0.148 0.750
Sb: 0.852 0.648 0.250

[2]
This entry pairs a crystal structure of ZnSb with its calculated PXRD pattern. Radiation: λ = 1.5418 Å (Cu Kα). Structure: a crystal structure in the Materials Project, relaxed with PBE.
Peak positions follow from Bragg's law for the DFT cell and can differ from measured ones.

Main lines, by angle (2θ from 10° to 90°):
Position (°2θ), Rel. int.
25.88, 51
28.32, 100
28.99, 78
32.58, 73
43.54, 86
45.39, 48

Structural model:
Cell lengths 6.284, 7.823, 8.232 Å; angles 90.00, 90.00, 90.00 degrees
Sites, in units of the cell vectors:
Zn: 0.040 0.106 0.127
Zn: 0.040 0.394 0.627
Zn: 0.460 0.606 0.127
Zn: 0.460 0.894 0.627
Zn: 0.540 0.106 0.373
Zn: 0.540 0.394 0.873
Zn: 0.960 0.606 0.373
Zn: 0.960 0.894 0.873
Sb: 0.142 0.583 0.891
Sb: 0.142 0.917 0.391
Sb: 0.358 0.083 0.891
Sb: 0.358 0.417 0.391
Sb: 0.642 0.583 0.609
Sb: 0.642 0.917 0.109
Sb: 0.858 0.083 0.609
Sb: 0.858 0.417 0.109

[3]
This entry pairs a crystal structure of ZnSb3 with its calculated PXRD pattern. Radiation: λ = 1.5418 Å (Cu Kα). Structure: a crystal structure in the Materials Project, relaxed with PBE.
Peak positions follow from Bragg's law for the DFT cell and can differ from measured ones.

Main lines, by angle (2θ from 10° to 90°):
Position (°2θ), Rel. int.
20.78, 3
34.26, 100
49.24, 18
61.35, 36
72.19, 11
82.39, 15

Structural model:
Cell lengths 5.234, 5.234, 5.234 Å; angles 60.00, 60.00, 60.00 degrees
Sites, in units of the cell vectors:
Zn: 0.000 0.000 0.000
Sb: 0.250 0.250 0.250
Sb: 0.500 0.500 0.500
Sb: 0.750 0.750 0.750

[4]
This entry pairs a crystal structure of Zn6Sb5 with its calculated PXRD pattern. Radiation: λ = 1.5418 Å (Cu Kα). Structure: a crystal structure in the Materials Project, relaxed with PBE.
Peak positions follow from Bragg's law for the DFT cell and can differ from measured ones.

Main lines, by angle (2θ from 10° to 90°):
Position (°2θ), Rel. int.
16.14, 37
25.16, 62
25.39, 81
35.84, 59
39.58, 77
44.32, 100

Structural model:
Cell lengths 8.270, 8.270, 8.270 Å; angles 95.67, 95.67, 95.67 degrees
Sites, in units of the cell vectors:
Zn: 0.000 0.377 0.368
Zn: 0.000 0.623 0.632
Zn: 0.123 0.500 0.132
Zn: 0.132 0.123 0.500
Zn: 0.368 0.000 0.377
Zn: 0.377 0.368 0.000
Zn: 0.500 0.132 0.123
Zn: 0.500 0.868 0.877
Zn: 0.623 0.632 0.000
Zn: 0.632 0.000 0.623
Zn: 0.868 0.877 0.500
Zn: 0.877 0.500 0.868
Sb: 0.121 0.750 0.379
Sb: 0.125 0.125 0.125
Sb: 0.250 0.621 0.879
Sb: 0.375 0.375 0.375
Sb: 0.379 0.121 0.750
Sb: 0.621 0.879 0.250
Sb: 0.625 0.625 0.625
Sb: 0.750 0.379 0.121
Sb: 0.875 0.875 0.875
Sb: 0.879 0.250 0.621

[5]
This entry pairs a crystal structure of Zn6Sb5 with its calculated PXRD pattern. Radiation: λ = 1.5418 Å (Cu Kα). Structure: a crystal structure in the Materials Project, relaxed with PBE.
Peak positions follow from Bragg's law for the DFT cell and can differ from measured ones.

Main lines, by angle (2θ from 10° to 90°):
Position (°2θ), Rel. int.
25.11, 100
26.39, 59
29.92, 50
36.39, 74
44.23, 57
44.74, 75

Structural model:
Cell lengths 8.218, 8.218, 8.218 Å; angles 96.75, 96.75, 96.75 degrees
Sites, in units of the cell vectors:
Zn: 0.018 0.341 0.933
Zn: 0.067 0.982 0.659
Zn: 0.159 0.482 0.567
Zn: 0.341 0.933 0.018
Zn: 0.433 0.841 0.518
Zn: 0.482 0.567 0.159
Zn: 0.518 0.433 0.841
Zn: 0.567 0.159 0.482
Zn: 0.659 0.067 0.982
Zn: 0.841 0.518 0.433
Zn: 0.933 0.018 0.341
Zn: 0.982 0.659 0.067
Sb: 0.106 0.750 0.394
Sb: 0.136 0.136 0.136
Sb: 0.250 0.606 0.894
Sb: 0.364 0.364 0.364
Sb: 0.394 0.106 0.750
Sb: 0.606 0.894 0.250
Sb: 0.636 0.636 0.636
Sb: 0.750 0.394 0.106
Sb: 0.864 0.864 0.864
Sb: 0.894 0.250 0.606

[6]
This entry pairs a crystal structure of Zr5ZnSb3 with its calculated PXRD pattern. Radiation: λ = 1.5418 Å (Cu Kα). Structure: a crystal structure in the Materials Project, relaxed with PBE.
Peak positions follow from Bragg's law for the DFT cell and can differ from measured ones.

Main lines, by angle (2θ from 10° to 90°):
Position (°2θ), Rel. int.
35.11, 71
35.88, 85
36.92, 100
46.24, 23
52.43, 24
74.86, 19

Structural model:
Cell lengths 8.670, 8.670, 5.885 Å; angles 90.00, 90.00, 120.00 degrees
Sites, in units of the cell vectors:
Zr: 0.000 0.269 0.250
Zr: 0.000 0.731 0.750
Zr: 0.269 0.000 0.250
Zr: 0.269 0.269 0.750
Zr: 0.333 0.667 0.000
Zr: 0.333 0.667 0.500
Zr: 0.667 0.333 0.000
Zr: 0.667 0.333 0.500
Zr: 0.731 0.000 0.750
Zr: 0.731 0.731 0.250
Zn: 0.000 0.000 0.000
Zn: 0.000 0.000 0.500
Sb: 0.000 0.385 0.750
Sb: 0.000 0.615 0.250
Sb: 0.385 0.000 0.750
Sb: 0.385 0.385 0.250
Sb: 0.615 0.000 0.250
Sb: 0.615 0.615 0.750